For TbSmCuSi3, a GGA-PBE-relaxed structure gives the simulated powder diffraction line list in this record (Cu Kα).
Lines closer than 0.1° are merged.

Largest 6 diffraction maxima, sorted by position, 2θ = 10–90°:
| 2θ (°) | intensity |
| --- | --- |
| 25.62 | 36 |
| 33.76 | 100 |
| 45.17 | 32 |
| 57.56 | 21 |
| 64.92 | 21 |
| 76.03 | 19 |

Structural model:
```
data_TbSmCuSi3
_cell_length_a 8.030
_cell_length_b 8.225
_cell_length_c 13.907
_cell_angle_alpha 90.00
_cell_angle_beta 90.00
_cell_angle_gamma 90.00
_space_group_name_H-M_alt 'F m m m'
_space_group_IT_number 69
_space_group_name_Hall '-F 2 2'
loop_
_atom_site_label
_atom_site_type_symbol
_atom_site_fract_x
_atom_site_fract_y
_atom_site_fract_z
Tb1 Tb 0.250 0.250 0.250
Sm1 Sm 0.000 0.244 0.000
Cu1 Cu 0.000 0.000 0.333
Si1 Si 0.000 0.000 0.169
Si2 Si 0.245 0.000 0.415
```


For Co2WAu, a GGA-PBE-relaxed structure gives the simulated powder diffraction line list in this record (Cu Kα).
Lines closer than 0.1° are merged.

Largest 6 diffraction maxima, sorted by position, 2θ = 10–90°:
| 2θ (°) | intensity |
| --- | --- |
| 25.44 | 31 |
| 42.15 | 100 |
| 49.88 | 17 |
| 61.13 | 16 |
| 67.31 | 7 |
| 77.05 | 34 |

Structural model:
```
data_Co2WAu
_cell_length_a 6.064
_cell_length_b 6.064
_cell_length_c 6.064
_cell_angle_alpha 90.00
_cell_angle_beta 90.00
_cell_angle_gamma 90.00
_space_group_name_H-M_alt 'F -4 3 m'
_space_group_IT_number 216
_space_group_name_Hall 'F -4 2 3'
loop_
_atom_site_label
_atom_site_type_symbol
_atom_site_fract_x
_atom_site_fract_y
_atom_site_fract_z
Co1 Co 0.000 0.000 0.000
Co2 Co 0.250 0.250 0.250
W1 W 0.000 0.000 0.500
Au1 Au 0.250 0.250 0.750
```


For HgO, a GGA-PBE-relaxed structure gives the simulated powder diffraction line list in this record (Cu Kα).
Lines closer than 0.1° are merged.

Largest 6 diffraction maxima, sorted by position, 2θ = 10–90°:
| 2θ (°) | intensity |
| --- | --- |
| 30.19 | 100 |
| 30.55 | 32 |
| 35.10 | 76 |
| 50.25 | 17 |
| 50.72 | 27 |
| 59.95 | 20 |

Structural model:
```
data_HgO
_cell_length_a 3.6315
_cell_length_b 3.6315
_cell_length_c 8.7796
_cell_angle_alpha 90.00
_cell_angle_beta 90.00
_cell_angle_gamma 120.00
_space_group_name_H-M_alt 'P 32 2 1'
_space_group_IT_number 154
loop_
_space_group_symop_operation_xyz
'x,y,z'
'-y,x-y,z+2/3'
'-x+y,-x,z+1/3'
'y,x,-z'
'x-y,-y,-z+1/3'
'-x,-x+y,-z+2/3'
loop_
_atom_site_label
_atom_site_type_symbol
_atom_site_fract_x
_atom_site_fract_y
_atom_site_fract_z
Hg1 Hg 0.0000 0.7487 0.3333
O1 O 0.0000 0.4705 0.8333
```


For ThBiPb, a GGA-PBE-relaxed structure gives the simulated powder diffraction line list in this record (Cu Kα).
Lines closer than 0.1° are merged.

Largest 6 diffraction maxima, sorted by position, 2θ = 10–90°:
| 2θ (°) | intensity |
| --- | --- |
| 20.35 | 24 |
| 23.54 | 15 |
| 33.53 | 100 |
| 48.14 | 19 |
| 59.94 | 39 |
| 80.32 | 18 |

Structural model:
```
data_ThBiPb
_cell_length_a 7.560
_cell_length_b 7.560
_cell_length_c 7.560
_cell_angle_alpha 90.00
_cell_angle_beta 90.00
_cell_angle_gamma 90.00
_space_group_name_H-M_alt 'F -4 3 m'
_space_group_IT_number 216
_space_group_name_Hall 'F -4 2 3'
loop_
_atom_site_label
_atom_site_type_symbol
_atom_site_fract_x
_atom_site_fract_y
_atom_site_fract_z
Th1 Th 0.000 0.000 0.000
Bi1 Bi 0.000 0.000 0.500
Pb1 Pb 0.250 0.250 0.750
```